[1]
Theoretical powder diffraction line list of Cu2SbO5 for λ = 1.5418 Å (Cu Kα), from the PBE geometry in the Materials Project.

Structure:
Cell lengths 7.1381, 7.4404, 13.7893 Å; angles 88.50, 77.59, 63.28 degrees
Space group P1 (No. 1)
Asymmetric unit:
Cu 0.0000 0.0000 0.0000
Cu 0.0269 0.5034 0.4918
Sb 0.3148 0.9787 0.7801
O 0.1418 0.1008 0.9154
O 0.1541 0.6146 0.4147
O 0.5672 0.9963 0.7704
O 0.8700 0.8874 0.0740
O 0.8951 0.3895 0.5646

Most intense lines, 15° ≤ 2θ ≤ 90°, most intense first:
index, 2theta, I/Imax
1 0 2, 17.1, 100.0
0 1 1, 15.4, 74.6
0 2 0, 26.9, 41.3
1 -1 1, 23.4, 37.6
0 1 -2, 18.1, 26.1
1 0 -2, 21.6, 22.6
2 0 2, 28.8, 22.0
2 1 3, 28.9, 20.3
0 1 3, 24.9, 18.7
3 0 4, 45.9, 16.7

[2]
Theoretical powder diffraction line list of Ti8Se3 for λ = 1.5418 Å (Cu Kα), from the PBE geometry in the Materials Project.

Structure:
Cell lengths 25.5419, 3.4406, 19.7412 Å; angles 90.00, 122.22, 90.00 degrees
Space group C2/m (No. 12)
Asymmetric unit:
Ti 0.0102 0.0000 0.4168
Ti 0.0120 0.0000 0.9252
Ti 0.0460 0.5000 0.2173
Ti 0.0620 0.0000 0.7871
Ti 0.0653 0.5000 0.5543
Ti 0.0745 0.5000 0.0671
Ti 0.0954 0.5000 0.9133
Ti 0.1277 0.5000 0.4332
Ti 0.1507 0.0000 0.6962
Ti 0.1664 0.0000 0.3468
Ti 0.1685 0.5000 0.8410
Ti 0.1975 0.5000 0.2543
Ti 0.2019 0.0000 0.9643
Ti 0.2096 0.5000 0.6300
Ti 0.2245 0.5000 0.1039
Ti 0.2383 0.0000 0.5436
Se 0.0546 0.0000 0.3240
Se 0.0702 0.5000 0.6914
Se 0.1075 0.0000 0.1839
Se 0.1304 0.0000 0.5356
Se 0.1325 0.0000 0.0306
Se 0.2420 0.5000 0.7808

Most intense lines, 15° ≤ 2θ ≤ 90°, most intense first:
index, 2theta, I/Imax
5 1 2, 38.4, 100.0
0 2 0, 53.2, 94.8
8 0 2, 40.1, 92.0
5 1 -6, 38.0, 78.3
7 1 -6, 39.7, 72.1
3 1 -6, 38.1, 70.1
7 1 0, 39.2, 60.2
1 1 5, 39.4, 49.7
7 1 -3, 35.9, 48.3
3 1 4, 40.0, 48.0